For Ba6Na23Ga, DFT lattice parameters and positions (PBE) gives the calculated X-ray powder pattern in this record (Cu Kα X-rays).

a = 17.1372 Å, b = 17.1372 Å, c = 17.1372 Å
α = 90.00°, β = 90.00°, γ = 90.00°
Space group Fm-3m (No. 225)
One atom of each set of equivalent atoms:
1 Ba 0.0000 0.0000 0.1956 [24 per cell]
2 Na 0.0000 0.0000 0.5000 [4 per cell]
3 Na 0.0000 0.2500 0.2500 [24 per cell]
4 Na 0.1186 0.1186 0.3814 [32 per cell]
5 Na 0.1725 0.1725 0.1725 [32 per cell]
6 Ga 0.0000 0.0000 0.0000 [4 per cell]

Peak list (6 most intense, 15 to 90 degrees two-theta, by intensity)
(3 3 3), 27.04°, 3.298 Å, rel. 100
(4 4 0), 29.48°, 3.029 Å, rel. 50
(6 6 0), 44.88°, 2.020 Å, rel. 31
(5 5 1), 37.48°, 2.400 Å, rel. 26
(4 0 0), 20.73°, 4.284 Å, rel. 26
(2 2 2), 17.93°, 4.947 Å, rel. 25